This entry pairs a crystal structure of AcIn4Pt2 with its theoretical XRD peak list. Radiation: Cu Kα (weighted mean of Kα1 and Kα2). Structure: a cell relaxed with GGA-PBE.
Intensities are scaled so that the largest is 100.

Structure:
Lattice parameters (Å, degrees): 18.9314 4.6746 7.3843 90.00 90.00 90.00
Space group Pnma (No. 62)
Symmetry-distinct sites (fractional):
Ac: 0.1401 0.2500 0.0278 [4 per cell]
In: 0.0340 0.7500 0.8395 [4 per cell]
In: 0.0713 0.2500 0.5021 [4 per cell]
In: 0.1849 0.7500 0.3340 [4 per cell]
In: 0.1921 0.7500 0.7343 [4 per cell]
Pt: 0.0406 0.7500 0.2477 [4 per cell]
Pt: 0.2194 0.2500 0.5367 [4 per cell]

Main lines, by angle (5° ≤ 2θ ≤ 70°):
32.3°, I = 100, hkl 2 1 2
32.8°, I = 67, hkl 5 1 1
34.3°, I = 23, hkl 6 1 0
35.3°, I = 33, hkl 7 0 1
38.5°, I = 51, hkl 0 2 0
42.4°, I = 22, hkl 6 1 2
42.6°, I = 17, hkl 2 1 3
53.3°, I = 21, hkl 7 2 1